1.
For KMgMnCl6, the PBE geometry in Alexandria gives the computed powder diffraction line list in this record (Cu Ka).
Neutral-atom scattering factors, no anomalous dispersion.

Atomic structure:
a b c (Å): 6.423 6.423 13.990
angles (deg): 90.00 90.00 120.00
Fractional coordinates of all 18 atoms:
K1 0.000 0.000 0.000
K2 0.000 0.000 0.500
Mg1 0.333 0.667 0.250
Mg2 0.667 0.333 0.750
Mn1 0.333 0.667 0.750
Mn2 0.667 0.333 0.250
Cl1 0.013 0.380 0.650
Cl2 0.013 0.633 0.850
Cl3 0.367 0.380 0.850
Cl4 0.367 0.987 0.650
Cl5 0.380 0.013 0.150
Cl6 0.380 0.367 0.350
Cl7 0.620 0.633 0.650
Cl8 0.620 0.987 0.850
Cl9 0.633 0.013 0.350
Cl10 0.633 0.620 0.150
Cl11 0.987 0.367 0.150
Cl12 0.987 0.620 0.350

Main lines, in order of rising 2θ (2θ from 10° to 80°):
| 2theta | d/Å | I_rel |
| --- | --- | --- |
| 12.66 | 6.995 | 65.6 |
| 17.15 | 5.169 | 18.7 |
| 20.40 | 4.354 | 87.5 |
| 30.63 | 2.919 | 100.0 |
| 38.04 | 2.366 | 99.5 |
| 45.02 | 2.013 | 24.7 |
| 48.23 | 1.887 | 22.6 |
| 49.14 | 1.854 | 36.3 |
| 60.26 | 1.536 | 15.0 |
| 61.56 | 1.507 | 14.7 |

=====

2.
For NaTbSnCl6, the PBE geometry in Alexandria gives the computed powder diffraction line list in this record (Cu Ka).
Neutral-atom scattering factors, no anomalous dispersion.

Atomic structure:
a b c (Å): 7.007 7.007 12.377
angles (deg): 90.00 90.00 120.00
Fractional coordinates of all 18 atoms:
Na1 0.333 0.667 0.250
Na2 0.667 0.333 0.750
Tb1 0.333 0.667 0.750
Tb2 0.667 0.333 0.250
Sn1 0.000 0.000 0.000
Sn2 0.000 0.000 0.500
Cl1 0.017 0.352 0.629
Cl2 0.017 0.665 0.871
Cl3 0.335 0.352 0.871
Cl4 0.335 0.983 0.629
Cl5 0.352 0.017 0.129
Cl6 0.352 0.335 0.371
Cl7 0.648 0.665 0.629
Cl8 0.648 0.983 0.871
Cl9 0.665 0.017 0.371
Cl10 0.665 0.648 0.129
Cl11 0.983 0.335 0.129
Cl12 0.983 0.648 0.371

Main lines, in order of rising 2θ (2θ from 10° to 80°):
| 2theta | d/Å | I_rel |
| --- | --- | --- |
| 16.27 | 5.449 | 58.2 |
| 20.50 | 4.333 | 100.0 |
| 25.42 | 3.503 | 24.2 |
| 29.29 | 3.049 | 35.8 |
| 32.88 | 2.724 | 30.6 |
| 38.83 | 2.319 | 71.8 |
| 42.01 | 2.151 | 31.9 |
| 44.81 | 2.023 | 35.9 |
| 60.76 | 1.524 | 18.3 |
| 78.58 | 1.217 | 17.0 |

=====

3.
For V4FeRh4, the PBE geometry in Alexandria gives the computed powder diffraction line list in this record (Cu Ka).
Neutral-atom scattering factors, no anomalous dispersion.

Atomic structure:
a b c (Å): 5.986 5.986 5.986
angles (deg): 95.68 95.68 143.31
Fractional coordinates of all 9 atoms:
V1 0.000 0.320 0.320
V2 0.000 0.680 0.680
V3 0.320 0.000 0.320
V4 0.680 0.000 0.680
Fe1 0.000 0.000 0.000
Rh1 0.335 0.335 0.670
Rh2 0.335 0.665 0.000
Rh3 0.665 0.335 0.000
Rh4 0.665 0.665 0.330

Main lines, in order of rising 2θ (2θ from 10° to 80°):
| 2theta | d/Å | I_rel |
| --- | --- | --- |
| 15.60 | 5.682 | 8.7 |
| 22.13 | 4.017 | 6.6 |
| 26.12 | 3.411 | 7.1 |
| 35.32 | 2.541 | 3.5 |
| 41.36 | 2.183 | 100.0 |
| 47.40 | 1.918 | 3.8 |
| 48.04 | 1.894 | 31.5 |
| 48.31 | 1.884 | 15.8 |
| 70.29 | 1.339 | 9.3 |
| 70.51 | 1.336 | 18.8 |

=====

4.
For Dy4GaTe2, the PBE geometry in Alexandria gives the computed powder diffraction line list in this record (Cu Ka).
Neutral-atom scattering factors, no anomalous dispersion.

Atomic structure:
a b c (Å): 7.238 7.238 14.145
angles (deg): 90.00 90.00 145.86
Fractional coordinates of all 14 atoms:
Dy1 0.000 0.000 0.000
Dy2 0.000 0.000 0.500
Dy3 0.289 0.711 0.632
Dy4 0.289 0.711 0.868
Dy5 0.472 0.528 0.250
Dy6 0.528 0.472 0.750
Dy7 0.711 0.289 0.132
Dy8 0.711 0.289 0.368
Ga1 0.114 0.886 0.250
Ga2 0.886 0.114 0.750
Te1 0.359 0.641 0.069
Te2 0.359 0.641 0.431
Te3 0.641 0.359 0.569
Te4 0.641 0.359 0.931

Main lines, in order of rising 2θ (2θ from 10° to 80°):
| 2theta | d/Å | I_rel |
| --- | --- | --- |
| 28.34 | 3.149 | 100.0 |
| 28.56 | 3.125 | 46.1 |
| 29.27 | 3.052 | 67.3 |
| 31.29 | 2.859 | 90.4 |
| 38.80 | 2.321 | 65.0 |
| 40.95 | 2.204 | 31.6 |
| 42.55 | 2.125 | 41.9 |
| 43.49 | 2.081 | 26.1 |
| 43.69 | 2.072 | 30.0 |
| 51.92 | 1.761 | 37.7 |

=====

5.
For Cr3C5, the PBE geometry in Alexandria gives the computed powder diffraction line list in this record (Cu Ka).
Neutral-atom scattering factors, no anomalous dispersion.

Atomic structure:
a b c (Å): 6.197 6.197 4.044
angles (deg): 90.00 90.00 120.00
Fractional coordinates of all 16 atoms:
Cr1 0.178 0.357 0.250
Cr2 0.178 0.822 0.250
Cr3 0.357 0.178 0.750
Cr4 0.643 0.822 0.250
Cr5 0.822 0.178 0.750
Cr6 0.822 0.643 0.750
C1 0.192 0.385 0.750
C2 0.192 0.808 0.750
C3 0.333 0.667 0.560
C4 0.333 0.667 0.940
C5 0.385 0.192 0.250
C6 0.615 0.808 0.750
C7 0.667 0.333 0.060
C8 0.667 0.333 0.440
C9 0.808 0.192 0.250
C10 0.808 0.615 0.250

Main lines, in order of rising 2θ (2θ from 10° to 80°):
| 2theta | d/Å | I_rel |
| --- | --- | --- |
| 27.62 | 3.230 | 23.1 |
| 33.39 | 2.684 | 66.9 |
| 40.34 | 2.236 | 100.0 |
| 44.67 | 2.029 | 16.5 |
| 44.82 | 2.022 | 25.9 |
| 54.16 | 1.693 | 13.6 |
| 57.03 | 1.615 | 16.2 |
| 59.68 | 1.549 | 33.8 |
| 65.14 | 1.432 | 14.7 |
| 77.64 | 1.230 | 20.1 |

=====

6.
For Cs2In3Pb4, the PBE geometry in Alexandria gives the computed powder diffraction line list in this record (Cu Ka).
Neutral-atom scattering factors, no anomalous dispersion.

Atomic structure:
a b c (Å): 10.016 8.435 7.211
angles (deg): 79.18 55.82 45.00
Fractional coordinates of all 9 atoms:
Cs1 0.132 0.132 0.868
Cs2 0.868 0.868 0.132
In1 0.000 0.000 0.500
In2 0.500 0.500 0.000
In3 0.500 0.500 0.500
Pb1 0.161 0.516 0.484
Pb2 0.484 0.839 0.161
Pb3 0.516 0.161 0.839
Pb4 0.839 0.484 0.516

Main lines, in order of rising 2θ (2θ from 10° to 80°):
| 2theta | d/Å | I_rel |
| --- | --- | --- |
| 13.90 | 6.370 | 14.3 |
| 25.43 | 3.502 | 26.5 |
| 26.38 | 3.379 | 24.3 |
| 30.31 | 2.948 | 100.0 |
| 32.15 | 2.784 | 19.5 |
| 34.82 | 2.576 | 19.4 |
| 35.28 | 2.544 | 18.8 |
| 49.08 | 1.856 | 24.9 |
| 50.78 | 1.798 | 16.4 |
| 63.06 | 1.474 | 13.8 |

=====

7.
For PmPrGa4, the PBE geometry in Alexandria gives the computed powder diffraction line list in this record (Cu Ka).
Neutral-atom scattering factors, no anomalous dispersion.

Atomic structure:
a b c (Å): 4.279 4.279 8.605
angles (deg): 90.00 90.00 120.00
Fractional coordinates of all 6 atoms:
Pm1 0.000 0.000 0.000
Pr1 0.000 0.000 0.500
Ga1 0.333 0.667 0.246
Ga2 0.333 0.667 0.754
Ga3 0.667 0.333 0.246
Ga4 0.667 0.333 0.754

Main lines, in order of rising 2θ (2θ from 10° to 80°):
| 2theta | d/Å | I_rel |
| --- | --- | --- |
| 24.01 | 3.706 | 10.8 |
| 31.87 | 2.808 | 100.0 |
| 42.00 | 2.151 | 13.9 |
| 42.24 | 2.140 | 41.2 |
| 48.96 | 1.861 | 3.3 |
| 53.87 | 1.702 | 22.4 |
| 61.08 | 1.517 | 27.0 |
| 70.39 | 1.337 | 9.9 |
| 70.73 | 1.332 | 19.6 |
| 77.22 | 1.235 | 6.7 |

=====

8.
For PuCrTe3, the PBE geometry in Alexandria gives the computed powder diffraction line list in this record (Cu Ka).
Neutral-atom scattering factors, no anomalous dispersion.

Atomic structure:
a b c (Å): 7.661 4.155 8.743
angles (deg): 90.00 94.51 90.00
Fractional coordinates of all 10 atoms:
Pu1 0.122 0.250 0.288
Pu2 0.878 0.750 0.712
Cr1 0.352 0.750 0.839
Cr2 0.648 0.250 0.161
Te1 0.127 0.250 0.898
Te2 0.234 0.750 0.542
Te3 0.409 0.750 0.157
Te4 0.591 0.250 0.843
Te5 0.766 0.250 0.458
Te6 0.873 0.750 0.102

Main lines, in order of rising 2θ (2θ from 10° to 80°):
| 2theta | d/Å | I_rel |
| --- | --- | --- |
| 11.59 | 7.637 | 34.2 |
| 16.02 | 5.532 | 22.4 |
| 26.83 | 3.322 | 44.2 |
| 29.71 | 3.007 | 60.9 |
| 29.87 | 2.991 | 38.0 |
| 31.83 | 2.812 | 100.0 |
| 32.59 | 2.748 | 29.8 |
| 33.86 | 2.647 | 41.7 |
| 38.89 | 2.316 | 49.0 |
| 43.56 | 2.078 | 38.0 |

=====

9.
For Li3As3Au, the PBE geometry in Alexandria gives the computed powder diffraction line list in this record (Cu Ka).
Neutral-atom scattering factors, no anomalous dispersion.

Atomic structure:
a b c (Å): 5.327 5.327 13.477
angles (deg): 106.00 106.00 46.76
Fractional coordinates of all 14 atoms:
Li1 0.028 0.028 0.360
Li2 0.087 0.087 0.921
Li3 0.229 0.229 0.221
Li4 0.771 0.771 0.779
Li5 0.913 0.913 0.079
Li6 0.972 0.972 0.640
As1 0.371 0.371 0.462
As2 0.385 0.385 0.928
As3 0.488 0.488 0.781
As4 0.512 0.512 0.219
As5 0.615 0.615 0.072
As6 0.629 0.629 0.538
Au1 0.254 0.254 0.633
Au2 0.746 0.746 0.367

Main lines, in order of rising 2θ (2θ from 10° to 80°):
| 2theta | d/Å | I_rel |
| --- | --- | --- |
| 18.18 | 4.879 | 80.7 |
| 23.10 | 3.851 | 85.6 |
| 23.28 | 3.822 | 68.7 |
| 24.95 | 3.569 | 43.3 |
| 28.61 | 3.120 | 95.7 |
| 33.15 | 2.703 | 41.7 |
| 41.75 | 2.164 | 100.0 |
| 42.77 | 2.114 | 49.3 |
| 43.92 | 2.061 | 59.8 |
| 51.48 | 1.775 | 42.5 |

=====

10.
For SiAgAu4, the PBE geometry in Alexandria gives the computed powder diffraction line list in this record (Cu Ka).
Neutral-atom scattering factors, no anomalous dispersion.

Atomic structure:
a b c (Å): 8.801 4.765 5.170
angles (deg): 90.00 97.48 90.00
Fractional coordinates of all 12 atoms:
Si1 0.000 0.000 0.000
Si2 0.500 0.500 0.000
Ag1 0.000 0.500 0.500
Ag2 0.500 0.000 0.500
Au1 0.160 0.000 0.431
Au2 0.165 0.500 0.037
Au3 0.335 0.000 0.963
Au4 0.340 0.500 0.569
Au5 0.660 0.500 0.431
Au6 0.665 0.000 0.037
Au7 0.835 0.500 0.963
Au8 0.840 0.000 0.569

Main lines, in order of rising 2θ (2θ from 10° to 80°):
| 2theta | d/Å | I_rel |
| --- | --- | --- |
| 28.37 | 3.146 | 25.8 |
| 28.54 | 3.128 | 16.0 |
| 35.01 | 2.563 | 45.2 |
| 37.76 | 2.382 | 56.6 |
| 38.49 | 2.339 | 100.0 |
| 40.10 | 2.249 | 31.4 |
| 42.17 | 2.143 | 71.8 |
| 52.44 | 1.745 | 28.7 |
| 68.68 | 1.367 | 21.9 |
| 71.20 | 1.324 | 15.4 |

=====

11.
For BaHg2BiPb2, the PBE geometry in Alexandria gives the computed powder diffraction line list in this record (Cu Ka).
Neutral-atom scattering factors, no anomalous dispersion.

Atomic structure:
a b c (Å): 5.951 5.951 12.964
angles (deg): 90.00 90.00 90.00
Fractional coordinates of all 12 atoms:
Ba1 0.000 0.000 0.000
Ba2 0.500 0.500 0.500
Hg1 0.000 0.000 0.268
Hg2 0.000 0.000 0.732
Hg3 0.500 0.500 0.232
Hg4 0.500 0.500 0.768
Bi1 0.000 0.000 0.500
Bi2 0.500 0.500 0.000
Pb1 0.000 0.500 0.250
Pb2 0.000 0.500 0.750
Pb3 0.500 0.000 0.250
Pb4 0.500 0.000 0.750

Main lines, in order of rising 2θ (2θ from 10° to 80°):
| 2theta | d/Å | I_rel |
| --- | --- | --- |
| 13.66 | 6.482 | 48.7 |
| 21.11 | 4.208 | 19.6 |
| 25.23 | 3.529 | 29.9 |
| 27.52 | 3.241 | 57.8 |
| 30.03 | 2.975 | 100.0 |
| 33.13 | 2.704 | 25.1 |
| 41.19 | 2.192 | 80.5 |
| 42.99 | 2.104 | 38.4 |
| 51.81 | 1.765 | 41.7 |
| 77.55 | 1.231 | 27.4 |

=====

12.
For NdAlGaRh, the PBE geometry in Alexandria gives the computed powder diffraction line list in this record (Cu Ka).
Neutral-atom scattering factors, no anomalous dispersion.

Atomic structure:
a b c (Å): 4.236 4.236 15.879
angles (deg): 90.00 90.00 120.00
Fractional coordinates of all 12 atoms:
Nd1 0.000 0.000 0.000
Nd2 0.333 0.667 0.667
Nd3 0.667 0.333 0.333
Al1 0.000 0.000 0.793
Al2 0.333 0.667 0.460
Al3 0.667 0.333 0.127
Ga1 0.000 0.000 0.212
Ga2 0.333 0.667 0.879
Ga3 0.667 0.333 0.545
Rh1 0.000 0.000 0.497
Rh2 0.333 0.667 0.164
Rh3 0.667 0.333 0.831

Main lines, in order of rising 2θ (2θ from 10° to 80°):
| 2theta | d/Å | I_rel |
| --- | --- | --- |
| 26.77 | 3.330 | 48.8 |
| 33.25 | 2.694 | 100.0 |
| 33.87 | 2.647 | 19.8 |
| 37.45 | 2.401 | 14.4 |
| 42.69 | 2.118 | 64.5 |
| 52.41 | 1.746 | 13.7 |
| 55.16 | 1.665 | 23.2 |
| 55.57 | 1.654 | 28.5 |
| 63.88 | 1.457 | 16.7 |
| 72.16 | 1.309 | 20.5 |

=====

13.
For Ca2InO, the PBE geometry in Alexandria gives the computed powder diffraction line list in this record (Cu Ka).
Neutral-atom scattering factors, no anomalous dispersion.

Atomic structure:
a b c (Å): 6.936 6.936 8.827
angles (deg): 90.00 90.00 90.00
Fractional coordinates of all 16 atoms:
Ca1 0.122 0.250 0.125
Ca2 0.250 0.622 0.375
Ca3 0.250 0.878 0.875
Ca4 0.378 0.250 0.625
Ca5 0.622 0.750 0.625
Ca6 0.750 0.122 0.875
Ca7 0.750 0.378 0.375
Ca8 0.878 0.750 0.125
In1 0.000 0.000 0.500
In2 0.000 0.500 0.750
In3 0.500 0.000 0.250
In4 0.500 0.500 0.000
O1 0.000 0.000 0.000
O2 0.000 0.500 0.250
O3 0.500 0.000 0.750
O4 0.500 0.500 0.500

Main lines, in order of rising 2θ (2θ from 10° to 80°):
| 2theta | d/Å | I_rel |
| --- | --- | --- |
| 16.25 | 5.454 | 21.7 |
| 25.69 | 3.468 | 23.1 |
| 27.18 | 3.281 | 100.0 |
| 30.55 | 2.926 | 82.4 |
| 33.07 | 2.709 | 28.3 |
| 36.65 | 2.452 | 17.6 |
| 40.33 | 2.237 | 15.6 |
| 46.22 | 1.964 | 37.1 |
| 48.92 | 1.862 | 26.1 |
| 72.73 | 1.300 | 14.9 |